For Ba2ErMgNbO6, a PBE-relaxed structure gives the simulated X-ray powder pattern in this record (Cu Ka).
Lines closer than 0.1° are merged.

```
Ba2ErMgNbO6
1.0
-2.9712 3.1368 4.6385
2.9712 -3.1368 4.6385
2.9712 3.1368 -4.6385
Ba Er Mg Nb O
2 1 1 1 6
direct
0.1890 0.1890 0.0000
0.8110 0.8110 0.0000
0.5000 0.0000 0.5000
0.5000 0.5000 0.0000
0.0000 0.5000 0.5000
0.2346 0.7346 0.5000
0.2629 0.2693 0.5322
0.2629 0.7307 0.9936
0.7371 0.2693 0.0064
0.7371 0.7307 0.4678
0.7654 0.2654 0.5000
```

Principal peaks in the range 2θ = 10–80°, low angle first:
two_theta  I_rel
17.7  16.0
28.2  100.0
28.5  43.1
30.1  37.5
32.3  28.6
41.9  46.5
44.7  21.7
50.3  21.0
52.3  18.7
67.5  12.6

***

For Ba3Er4O9, a PBE-relaxed structure gives the simulated X-ray powder pattern in this record (Cu Ka).
Lines closer than 0.1° are merged.

```
Ba3Er4O9
1.0
3.0516 1.7618 8.4645
-3.0516 1.7618 8.4645
0.0000 -3.5237 8.4645
Ba Er O
3 4 9
direct
0.0000 0.0000 0.0000
0.1650 0.1650 0.1650
0.5867 0.5867 0.5867
0.3003 0.3003 0.3003
0.4258 0.4258 0.4258
0.7390 0.7390 0.7390
0.8639 0.8639 0.8639
0.0251 0.1384 0.5835
0.0375 0.5683 0.4703
0.1228 0.7029 0.5871
0.1384 0.5835 0.0251
0.4703 0.0375 0.5683
0.5683 0.4703 0.0375
0.5835 0.0251 0.1384
0.5871 0.1228 0.7029
0.7029 0.5871 0.1228
```

Principal peaks in the range 2θ = 10–80°, low angle first:
two_theta  I_rel
18.2  14.1
29.3  100.0
29.9  79.9
42.3  41.6
43.7  17.9
51.9  22.6
52.3  35.2
60.7  16.1
69.1  17.5
76.7  12.3

***

For BaEr2O4, a PBE-relaxed structure gives the simulated X-ray powder pattern in this record (Cu Ka).
Lines closer than 0.1° are merged.

```
BaEr2O4
1.0
10.4615 0.0000 0.0000
0.0000 3.4501 0.0000
0.0000 0.0000 12.1433
Ba Er O
4 8 16
direct
0.2465 0.2500 0.1490
0.2535 0.7500 0.6490
0.7465 0.2500 0.3510
0.7535 0.7500 0.8510
0.0724 0.2500 0.3889
0.0781 0.2500 0.8915
0.4219 0.7500 0.3915
0.4276 0.7500 0.8889
0.5724 0.2500 0.1111
0.5781 0.2500 0.6085
0.9219 0.7500 0.1085
0.9276 0.7500 0.6111
0.0195 0.7500 0.7832
0.0700 0.2500 0.5733
0.1139 0.7500 0.0177
0.2088 0.7500 0.3421
0.2912 0.2500 0.8421
0.3861 0.2500 0.5177
0.4300 0.7500 0.0733
0.4805 0.2500 0.2832
0.5195 0.7500 0.7168
0.5700 0.2500 0.9267
0.6139 0.7500 0.4823
0.7088 0.7500 0.1579
0.7912 0.2500 0.6579
0.8861 0.2500 0.9823
0.9300 0.7500 0.4267
0.9805 0.2500 0.2168
```

Principal peaks in the range 2θ = 10–80°, low angle first:
two_theta  I_rel
29.4  45.3
29.5  97.0
31.0  100.0
35.2  15.5
43.3  27.9
43.4  19.7
53.1  14.5
53.2  16.2
53.3  33.3
61.9  35.8

***

For BaErO3, a PBE-relaxed structure gives the simulated X-ray powder pattern in this record (Cu Ka).
Lines closer than 0.1° are merged.

```
BaErO3
1.0
4.3955 0.0000 0.0000
0.0000 4.3955 0.0000
0.0000 0.0000 4.3955
Ba Er O
1 1 3
direct
0.0000 0.0000 0.0000
0.5000 0.5000 0.5000
0.0000 0.5000 0.5000
0.5000 0.0000 0.5000
0.5000 0.5000 0.0000
```

Principal peaks in the range 2θ = 10–80°, low angle first:
two_theta  I_rel
20.2  4.0
28.7  100.0
41.1  29.0
46.2  1.8
50.9  41.8
59.5  18.6
63.5  0.8
67.4  18.4
74.8  6.2

***

For Ba2ErRuO6, a PBE-relaxed structure gives the simulated X-ray powder pattern in this record (Cu Ka).
Lines closer than 0.1° are merged.

```
Ba2ErRuO6
1.0
0.0000 4.2048 4.2048
4.2048 0.0000 4.2048
4.2048 4.2048 0.0000
Ba Er Ru O
2 1 1 6
direct
0.2500 0.2500 0.2500
0.7500 0.7500 0.7500
0.0000 0.0000 0.0000
0.5000 0.5000 0.5000
0.2637 0.2637 0.7363
0.2637 0.7363 0.2637
0.2637 0.7363 0.7363
0.7363 0.2637 0.2637
0.7363 0.2637 0.7363
0.7363 0.7363 0.2637
```

Principal peaks in the range 2θ = 10–80°, low angle first:
two_theta  I_rel
18.3  2.2
30.1  100.0
35.4  2.2
37.0  1.3
43.0  29.2
47.1  1.3
53.4  40.2
62.5  18.2
70.9  17.8
78.9  6.1

***

For BaEr4Si5O17, a PBE-relaxed structure gives the simulated X-ray powder pattern in this record (Cu Ka).
Lines closer than 0.1° are merged.

```
BaEr4Si5O17
1.0
5.5537 0.0000 0.0000
0.0000 19.8993 0.0000
-1.9747 0.0000 6.6172
Ba Er Si O
2 8 10 34
direct
0.2420 0.2500 0.3136
0.7580 0.7500 0.6864
0.3017 0.0386 0.6174
0.3017 0.4614 0.6174
0.3528 0.6585 0.0193
0.3528 0.8415 0.0193
0.6472 0.1585 0.9807
0.6472 0.3415 0.9807
0.6983 0.5386 0.3826
0.6983 0.9614 0.3826
0.0640 0.2500 0.7812
0.1966 0.0610 0.0952
0.1966 0.4390 0.0952
0.2296 0.6355 0.4939
0.2296 0.8645 0.4939
0.7704 0.1355 0.5061
0.7704 0.3645 0.5061
0.8034 0.5610 0.9048
0.8034 0.9390 0.9048
0.9360 0.7500 0.2188
0.0000 0.0000 0.0000
0.0000 0.5000 0.0000
0.0182 0.1837 0.6293
0.0182 0.3163 0.6293
0.0401 0.1286 0.1140
0.0401 0.3714 0.1140
0.1021 0.5628 0.5187
0.1021 0.9372 0.5187
0.1366 0.7500 0.0849
0.3584 0.2500 0.9185
0.3624 0.6736 0.7059
0.3624 0.8264 0.7059
0.3703 0.0736 0.9391
0.3703 0.4264 0.9391
0.3748 0.0337 0.3143
0.3748 0.4663 0.3143
0.4228 0.6295 0.3518
0.4228 0.8705 0.3518
0.5772 0.1295 0.6482
0.5772 0.3705 0.6482
0.6252 0.5337 0.6857
0.6252 0.9663 0.6857
0.6297 0.5736 0.0609
0.6297 0.9264 0.0609
0.6376 0.1736 0.2941
0.6376 0.3264 0.2941
0.6416 0.7500 0.0815
0.8634 0.2500 0.9151
0.8979 0.0628 0.4813
0.8979 0.4372 0.4813
0.9599 0.6286 0.8860
0.9599 0.8714 0.8860
0.9818 0.6837 0.3707
0.9818 0.8163 0.3707
```

Principal peaks in the range 2θ = 10–80°, low angle first:
two_theta  I_rel
16.1  37.8
18.7  20.7
22.4  23.6
25.9  30.3
27.7  22.8
28.0  100.0
28.8  31.1
30.2  23.0
40.8  21.9
51.7  16.6

***

For BaEr2Si3O10, a PBE-relaxed structure gives the simulated X-ray powder pattern in this record (Cu Ka).
Lines closer than 0.1° are merged.

```
BaEr2Si3O10
1.0
5.4227 0.0000 0.0000
0.0000 12.2579 0.0000
-1.9476 0.0000 6.6024
Ba Er Si O
2 4 6 20
direct
0.2391 0.2500 0.4808
0.7609 0.7500 0.5192
0.1582 0.5992 0.1842
0.1582 0.9008 0.1842
0.8418 0.0992 0.8158
0.8418 0.4008 0.8158
0.3041 0.5613 0.7136
0.3041 0.9387 0.7136
0.4186 0.2500 0.0110
0.5814 0.7500 0.9890
0.6959 0.0613 0.2864
0.6959 0.4387 0.2864
0.1003 0.5504 0.8519
0.1003 0.9496 0.8519
0.1230 0.2500 0.8651
0.1648 0.6229 0.5014
0.1648 0.8771 0.5014
0.3665 0.7500 0.1130
0.4358 0.0550 0.6919
0.4358 0.4450 0.6919
0.4517 0.1428 0.1611
0.4517 0.3572 0.1611
0.5483 0.6428 0.8389
0.5483 0.8572 0.8389
0.5642 0.5550 0.3081
0.5642 0.9450 0.3081
0.6335 0.2500 0.8870
0.8352 0.1229 0.4986
0.8352 0.3771 0.4986
0.8770 0.7500 0.1349
0.8997 0.0504 0.1481
0.8997 0.4496 0.1481
```

Principal peaks in the range 2θ = 10–80°, low angle first:
two_theta  I_rel
15.2  33.9
18.5  31.4
25.7  62.9
27.8  100.0
28.6  50.0
30.8  27.6
33.3  21.1
40.1  20.5
41.1  18.8
55.6  17.4

***

For BaSrEr4O8, a PBE-relaxed structure gives the simulated X-ray powder pattern in this record (Cu Ka).
Lines closer than 0.1° are merged.

```
BaSrEr4O8
1.0
3.4254 0.0000 0.0000
0.0000 12.0307 0.0000
0.0000 0.0000 10.2841
Ba Sr Er O
2 2 8 16
direct
0.0000 0.1011 0.0000
0.0000 0.8989 0.5000
0.5000 0.3979 0.5063
0.5000 0.6021 0.0063
0.0000 0.1430 0.3296
0.0000 0.3631 0.8282
0.0000 0.6369 0.3282
0.0000 0.8570 0.8296
0.5000 0.1438 0.6742
0.5000 0.3649 0.1794
0.5000 0.6351 0.6794
0.5000 0.8562 0.1742
0.0000 0.0341 0.7339
0.0000 0.2730 0.6295
0.0000 0.3296 0.3296
0.0000 0.4179 0.0425
0.0000 0.5821 0.5425
0.0000 0.6704 0.8296
0.0000 0.7270 0.1295
0.0000 0.9659 0.2339
0.5000 0.0911 0.4628
0.5000 0.1793 0.1857
0.5000 0.2358 0.8671
0.5000 0.4669 0.7670
0.5000 0.5331 0.2670
0.5000 0.7642 0.3671
0.5000 0.8207 0.6857
0.5000 0.9089 0.9628
```

Principal peaks in the range 2θ = 10–80°, low angle first:
two_theta  I_rel
29.7  40.9
30.0  85.7
31.3  100.0
43.8  27.9
44.0  19.6
53.5  23.0
53.7  13.9
54.0  20.4
62.4  23.0
62.6  22.2

***

For Ba2ErUO6, a PBE-relaxed structure gives the simulated X-ray powder pattern in this record (Cu Ka).
Lines closer than 0.1° are merged.

```
Ba2ErUO6
1.0
0.0000 4.3819 4.3819
4.3819 0.0000 4.3819
4.3819 4.3819 0.0000
Ba Er U O
2 1 1 6
direct
0.2500 0.2500 0.2500
0.7500 0.7500 0.7500
0.0000 0.0000 0.0000
0.5000 0.5000 0.5000
0.2543 0.2543 0.7457
0.2543 0.7457 0.2543
0.2543 0.7457 0.7457
0.7457 0.2543 0.2543
0.7457 0.2543 0.7457
0.7457 0.7457 0.2543
```

Principal peaks in the range 2θ = 10–80°, low angle first:
two_theta  I_rel
17.5  2.1
20.3  8.0
28.8  100.0
41.2  28.0
46.3  3.8
51.1  42.2
59.7  18.2
63.7  1.8
67.6  18.8
75.1  6.2

***

For BaEr2Te4, a PBE-relaxed structure gives the simulated X-ray powder pattern in this record (Cu Ka).
Lines closer than 0.1° are merged.

```
BaEr2Te4
1.0
13.7708 0.0000 0.0000
0.0000 4.4632 0.0000
0.0000 0.0000 16.2235
Ba Er Te
4 8 16
direct
0.2385 0.2500 0.1698
0.2615 0.7500 0.6698
0.7385 0.2500 0.3302
0.7615 0.7500 0.8302
0.0585 0.2500 0.3902
0.0808 0.2500 0.9036
0.4192 0.7500 0.4036
0.4415 0.7500 0.8902
0.5585 0.2500 0.1098
0.5808 0.2500 0.5964
0.9192 0.7500 0.0964
0.9415 0.7500 0.6098
0.0278 0.7500 0.7842
0.0898 0.2500 0.5757
0.1262 0.7500 0.0282
0.2044 0.7500 0.3413
0.2956 0.2500 0.8413
0.3738 0.2500 0.5282
0.4102 0.7500 0.0757
0.4722 0.2500 0.2842
0.5278 0.7500 0.7158
0.5898 0.2500 0.9243
0.6262 0.7500 0.4718
0.7044 0.7500 0.1587
0.7956 0.2500 0.6587
0.8738 0.2500 0.9718
0.9102 0.7500 0.4243
0.9722 0.2500 0.2158
```

Principal peaks in the range 2θ = 10–80°, low angle first:
two_theta  I_rel
25.9  58.9
26.7  100.0
28.2  82.5
28.4  73.7
32.5  87.3
32.9  49.4
35.7  49.7
39.8  57.0
40.4  77.1
41.2  54.8